# K2RbTaF6
Theoretical powder diffraction line list, CuKα. Input: a DFT-relaxed cell (PBE, the Materials Project).
Peak positions follow from Bragg's law for the DFT cell and can differ from measured ones.

Most intense lines, 10 to 80 degrees two-theta, sorted by position:
2θ/deg	I (rel.)	(hkl)
16.15	29	1 1 1
18.67	60	2 0 0
26.53	100	2 2 0
37.87	40	4 0 0
42.54	27	4 2 0
46.83	39	4 2 2
54.63	24	4 4 0
74.75	22	6 4 2

Structural model:
Cell: 9.504 9.504 9.504 Å, 90.00 90.00 90.00°
Space group Fm-3m (No. 225)
Inequivalent atoms, fractional coordinates:
K: 0.250 0.250 0.250
Rb: 0.000 0.000 0.000
Ta: 0.000 0.000 0.500
F: 0.000 0.000 0.282